The following is a simulated XRD peak list of U4Al7Si5. It was derived from a cell relaxed with PBE, using copper Kα.
Intensities are scaled so that the largest is 100.

The 6 most intense peaks (10 to 90 degrees two-theta), sorted by position:
| d [Å] | I/Imax |
| --- | --- |
| 4.231 | 45 |
| 4.105 | 81 |
| 2.946 | 72 |
| 2.903 | 35 |
| 2.394 | 100 |
| 2.053 | 31 |

Atomic structure:
```
U4Al7Si5
1.0
-4.105 4.105 8.461
4.105 -4.105 8.461
4.105 4.105 -8.461
U Al Si
8 14 10
direct
0.118 0.118 0.476 U
0.118 0.642 0.000 U
0.358 0.358 0.476 U
0.358 0.882 0.000 U
0.642 0.118 0.000 U
0.642 0.642 0.524 U
0.882 0.358 0.000 U
0.882 0.882 0.524 U
0.003 0.255 0.749 Al
0.249 0.500 0.749 Al
0.255 0.003 0.749 Al
0.255 0.506 0.251 Al
0.377 0.377 0.000 Al
0.494 0.745 0.749 Al
0.500 0.249 0.749 Al
0.500 0.751 0.251 Al
0.506 0.255 0.251 Al
0.623 0.623 0.000 Al
0.745 0.494 0.749 Al
0.745 0.997 0.251 Al
0.751 0.500 0.251 Al
0.997 0.745 0.251 Al
0.000 0.256 0.256 Si
0.000 0.744 0.744 Si
0.127 0.627 0.500 Si
0.138 0.138 0.000 Si
0.256 0.000 0.256 Si
0.373 0.873 0.500 Si
0.627 0.127 0.500 Si
0.744 0.000 0.744 Si
0.862 0.862 0.000 Si
0.873 0.373 0.500 Si
```